Calculated powder X-ray diffraction pattern of Mg6VZnO8 for Cu Kα, 1.54184 Å, from a crystal structure in Alexandria, relaxed with GGA+U.

Peak list (10 most intense, 10 to 90 degrees two-theta, most intense first)
42.05 deg, intensity 100, hkl 2 0 0
61.04 deg, intensity 85, hkl 2 2 0
42.17 deg, intensity 50, hkl 0 0 4
36.24 deg, intensity 39, hkl 1 1 2
20.69 deg, intensity 30, hkl 1 0 0
76.93 deg, intensity 26, hkl 2 2 4
29.42 deg, intensity 25, hkl 1 1 0
73.05 deg, intensity 13, hkl 3 1 2
52.19 deg, intensity 9, hkl 2 1 2
47.31 deg, intensity 8, hkl 2 1 0

Structural model:
abc: 4.297 4.297 8.571
angles: 90.00 90.00 90.00
Space group P4/mmm (No. 123)
One atom of each set of equivalent atoms:
Mg  0.000  0.000  0.000
Mg  0.000  0.000  0.500
Mg  0.000  0.500  0.249
V  0.500  0.500  0.500
Zn  0.500  0.500  0.000
O  0.000  0.000  0.250
O  0.000  0.500  0.000
O  0.000  0.500  0.500
O  0.500  0.500  0.247